Entry 1:
P2Au: theoretical X-ray powder pattern (Cu Kα (λ = 1.5418 Å)), based on DFT lattice parameters and positions (GGA-PBE).
No peak broadening, texture or thermal motion is included.

Cell and atoms:
abc: 5.2068 5.2068 5.2068
angles: 60.00 60.00 60.00
Element x y z (fractional)
P (0.0000, 0.0000, 0.0000)
P (0.0000, 0.0000, 0.5000)
P (0.0000, 0.5000, 0.0000)
P (0.5000, 0.0000, 0.0000)
Au (0.3750, 0.3750, 0.3750)
Au (0.6250, 0.6250, 0.6250)

Largest 12 diffraction maxima, sorted by position, 10° ≤ 2θ ≤ 90°:
| Position (°2θ) | I (rel.) |
| --- | --- |
| 20.90 | 65 |
| 34.45 | 100 |
| 40.64 | 94 |
| 42.53 | 3 |
| 49.51 | 9 |
| 54.30 | 18 |
| 61.71 | 38 |
| 65.91 | 30 |
| 72.63 | 20 |
| 76.54 | 13 |
| 82.93 | 17 |
| 86.71 | 11 |

***

Entry 2:
NaPt3S5: theoretical X-ray powder pattern (Cu Kα (λ = 1.5418 Å)), based on DFT lattice parameters and positions (GGA-PBE).
No peak broadening, texture or thermal motion is included.

Cell and atoms:
abc: 6.1438 6.1438 6.4240
angles: 90.00 90.00 120.00
Element x y z (fractional)
Na (0.0000, 0.0000, 0.0000)
Pt (0.0000, 0.5000, 0.5000)
Pt (0.5000, 0.0000, 0.5000)
Pt (0.5000, 0.5000, 0.5000)
S (0.0000, 0.0000, 0.5000)
S (0.3333, 0.6667, 0.2580)
S (0.3333, 0.6667, 0.7420)
S (0.6667, 0.3333, 0.2580)
S (0.6667, 0.3333, 0.7420)

Largest 12 diffraction maxima, sorted by position, 10° ≤ 2θ ≤ 90°:
| Position (°2θ) | I (rel.) |
| --- | --- |
| 13.78 | 100 |
| 16.66 | 23 |
| 21.69 | 21 |
| 27.77 | 14 |
| 33.69 | 32 |
| 36.56 | 55 |
| 44.21 | 46 |
| 55.05 | 18 |
| 60.25 | 12 |
| 62.14 | 12 |
| 68.21 | 9 |
| 77.70 | 9 |

***

Entry 3:
LiTcAuS3: theoretical X-ray powder pattern (Cu Kα (λ = 1.5418 Å)), based on DFT lattice parameters and positions (GGA-PBE).
No peak broadening, texture or thermal motion is included.

Cell and atoms:
abc: 7.1755 7.1755 9.4734
angles: 90.00 90.00 154.13
Element x y z (fractional)
Li (0.1830, 0.8170, 0.7500)
Li (0.8170, 0.1830, 0.2500)
Tc (0.5000, 0.5000, 0.0000)
Tc (0.5000, 0.5000, 0.5000)
Au (0.1595, 0.8405, 0.2500)
Au (0.8405, 0.1595, 0.7500)
S (0.1312, 0.8688, 0.0096)
S (0.1312, 0.8688, 0.4904)
S (0.4591, 0.5409, 0.2500)
S (0.5409, 0.4591, 0.7500)
S (0.8688, 0.1312, 0.5096)
S (0.8688, 0.1312, 0.9904)

Largest 12 diffraction maxima, sorted by position, 10° ≤ 2θ ≤ 90°:
| Position (°2θ) | I (rel.) |
| --- | --- |
| 15.75 | 100 |
| 22.67 | 40 |
| 27.18 | 34 |
| 30.06 | 51 |
| 31.07 | 17 |
| 33.88 | 89 |
| 34.33 | 21 |
| 37.99 | 37 |
| 38.62 | 21 |
| 40.57 | 20 |
| 47.16 | 18 |
| 51.81 | 52 |

***

Entry 4:
Cu5Ag4: theoretical X-ray powder pattern (Cu Kα (λ = 1.5418 Å)), based on DFT lattice parameters and positions (GGA-PBE).
No peak broadening, texture or thermal motion is included.

Cell and atoms:
abc: 4.9352 4.9352 10.5226
angles: 111.10 111.10 33.49
Element x y z (fractional)
Cu (0.0000, 0.0000, 0.0000)
Cu (0.3140, 0.3140, 0.8115)
Cu (0.3400, 0.3400, 0.0885)
Cu (0.6600, 0.6600, 0.9115)
Cu (0.6860, 0.6860, 0.1885)
Ag (0.0150, 0.0150, 0.3039)
Ag (0.3363, 0.3363, 0.4309)
Ag (0.6637, 0.6637, 0.5691)
Ag (0.9850, 0.9850, 0.6961)

Largest 12 diffraction maxima, sorted by position, 10° ≤ 2θ ≤ 90°:
| Position (°2θ) | I (rel.) |
| --- | --- |
| 36.05 | 31 |
| 38.21 | 21 |
| 40.08 | 39 |
| 40.30 | 63 |
| 40.85 | 100 |
| 43.10 | 22 |
| 44.47 | 98 |
| 61.81 | 16 |
| 63.76 | 14 |
| 65.65 | 15 |
| 78.69 | 17 |
| 79.93 | 15 |

***

Entry 5:
Ta3Al2CoC: theoretical X-ray powder pattern (Cu Kα (λ = 1.5418 Å)), based on DFT lattice parameters and positions (GGA-PBE).
No peak broadening, texture or thermal motion is included.

Cell and atoms:
abc: 8.2026 8.2026 8.2026
angles: 60.00 60.00 60.00
Element x y z (fractional)
Ta (0.0639, 0.0639, 0.6861)
Ta (0.0639, 0.6861, 0.0639)
Ta (0.0639, 0.6861, 0.6861)
Ta (0.3139, 0.3139, 0.9361)
Ta (0.3139, 0.9361, 0.3139)
Ta (0.3139, 0.9361, 0.9361)
Ta (0.6861, 0.0639, 0.0639)
Ta (0.6861, 0.0639, 0.6861)
Ta (0.6861, 0.6861, 0.0639)
Ta (0.9361, 0.3139, 0.3139)
Ta (0.9361, 0.3139, 0.9361)
Ta (0.9361, 0.9361, 0.3139)
Al (0.2932, 0.2932, 0.2932)
Al (0.2932, 0.2932, 0.6204)
Al (0.2932, 0.6204, 0.2932)
Al (0.3796, 0.7068, 0.7068)
Al (0.6204, 0.2932, 0.2932)
Al (0.7068, 0.3796, 0.7068)
Al (0.7068, 0.7068, 0.3796)
Al (0.7068, 0.7068, 0.7068)
Co (0.0000, 0.5000, 0.5000)
Co (0.5000, 0.0000, 0.5000)
Co (0.5000, 0.5000, 0.0000)
Co (0.5000, 0.5000, 0.5000)
C (0.0000, 0.0000, 0.0000)
C (0.0000, 0.0000, 0.5000)
C (0.0000, 0.5000, 0.0000)
C (0.5000, 0.0000, 0.0000)

Largest 12 diffraction maxima, sorted by position, 10° ≤ 2θ ≤ 90°:
| Position (°2θ) | I (rel.) |
| --- | --- |
| 13.22 | 38 |
| 30.83 | 31 |
| 33.68 | 52 |
| 38.00 | 68 |
| 40.40 | 100 |
| 44.16 | 25 |
| 56.67 | 20 |
| 61.39 | 10 |
| 65.91 | 18 |
| 68.65 | 57 |
| 70.27 | 14 |
| 82.79 | 18 |

***

Entry 6:
La2NdTa2N6: theoretical X-ray powder pattern (Cu Kα (λ = 1.5418 Å)), based on DFT lattice parameters and positions (GGA-PBE).
No peak broadening, texture or thermal motion is included.

Cell and atoms:
abc: 10.3638 10.3638 10.3638
angles: 157.41 157.41 32.17
Element x y z (fractional)
La (0.1802, 0.1802, 0.0000)
La (0.8198, 0.8198, 0.0000)
Nd (0.0000, 0.0000, 0.0000)
Ta (0.4011, 0.4011, 0.0000)
Ta (0.5989, 0.5989, 0.0000)
N (0.0832, 0.5832, 0.5000)
N (0.3026, 0.3026, 0.0000)
N (0.4168, 0.9168, 0.5000)
N (0.5832, 0.0832, 0.5000)
N (0.6974, 0.6974, 0.0000)
N (0.9168, 0.4168, 0.5000)

Largest 12 diffraction maxima, sorted by position, 10° ≤ 2θ ≤ 90°:
| Position (°2θ) | I (rel.) |
| --- | --- |
| 17.81 | 9 |
| 31.15 | 59 |
| 31.46 | 100 |
| 38.64 | 9 |
| 44.63 | 28 |
| 45.55 | 8 |
| 55.62 | 41 |
| 56.21 | 14 |
| 64.94 | 13 |
| 65.67 | 11 |
| 73.78 | 14 |
| 73.96 | 9 |